[1]
# Ce3BC3
Calculated powder XRD pattern, copper Kα. Input: a GGA-PBE-relaxed structure.
Lines closer than 0.1° are merged.

Structure:
```
data_Ce3BC3
_cell_length_a 6.9519
_cell_length_b 6.9519
_cell_length_c 5.3744
_cell_angle_alpha 90.00
_cell_angle_beta 90.00
_cell_angle_gamma 120.00
_symmetry_space_group_name_H-M 'P 63/m'
_symmetry_Int_Tables_number 176
_symmetry_space_group_name_Hall '-P 6c'
loop_
_atom_site_label
_atom_site_fract_x
_atom_site_fract_y
_atom_site_fract_z
Ce1 0.0749 0.7182 0.2500
B1 0.3333 0.6667 0.7500
C1 0.1050 0.6831 0.7500
```

Principal peaks in the range 15° ≤ 2θ ≤ 90°, in order of rising 2θ:
- 2θ = 25.63°, I = 33
- 2θ = 30.63°, I = 100
- 2θ = 33.34°, I = 36
- 2θ = 34.14°, I = 35
- 2θ = 39.61°, I = 31
- 2θ = 42.52°, I = 17
- 2θ = 45.19°, I = 15
- 2θ = 52.71°, I = 27
- 2θ = 57.86°, I = 36
- 2θ = 65.85°, I = 14

---

[2]
# Hf4Mg2Nb
Calculated powder XRD pattern, copper Kα. Input: a GGA-PBE-relaxed structure.
Lines closer than 0.1° are merged.

Structure:
```
data_Hf4Mg2Nb
_cell_length_a 3.112
_cell_length_b 32.699
_cell_length_c 3.102
_cell_angle_alpha 90.00
_cell_angle_beta 90.00
_cell_angle_gamma 90.00
_symmetry_space_group_name_H-M 'C m m m'
_symmetry_Int_Tables_number 65
_symmetry_space_group_name_Hall '-C 2 2'
loop_
_atom_site_label
_atom_site_fract_x
_atom_site_fract_y
_atom_site_fract_z
Hf1 0.000 0.066 0.000
Hf2 0.000 0.368 0.500
Mg1 0.000 0.207 0.000
Nb1 0.000 0.500 0.500
```

Principal peaks in the range 15° ≤ 2θ ≤ 90°, in order of rising 2θ:
- 2θ = 33.23°, I = 38
- 2θ = 34.63°, I = 100
- 2θ = 36.36°, I = 88
- 2θ = 38.07°, I = 29
- 2θ = 38.55°, I = 25
- 2θ = 41.18°, I = 87
- 2θ = 44.31°, I = 23
- 2θ = 59.76°, I = 46
- 2θ = 70.81°, I = 25
- 2θ = 71.67°, I = 24

---

[3]
# Zn3Cd
Calculated powder XRD pattern, copper Kα. Input: a GGA-PBE-relaxed structure.
Lines closer than 0.1° are merged.

Structure:
```
data_Zn3Cd
_cell_length_a 9.817
_cell_length_b 5.005
_cell_length_c 8.788
_cell_angle_alpha 90.00
_cell_angle_beta 103.99
_cell_angle_gamma 90.00
_symmetry_space_group_name_H-M 'C 1 2/m 1'
_symmetry_Int_Tables_number 12
_symmetry_space_group_name_Hall '-C 2y'
loop_
_atom_site_label
_atom_site_fract_x
_atom_site_fract_y
_atom_site_fract_z
Zn1 0.000 0.000 0.000
Zn2 0.056 0.000 0.724
Zn3 0.186 0.252 0.232
Zn4 0.188 0.000 0.500
Cd1 0.000 0.500 0.500
Cd2 0.117 0.500 0.911
```

Principal peaks in the range 15° ≤ 2θ ≤ 90°, in order of rising 2θ:
- 2θ = 30.69°, I = 68
- 2θ = 32.91°, I = 76
- 2θ = 35.56°, I = 66
- 2θ = 36.65°, I = 84
- 2θ = 37.15°, I = 69
- 2θ = 40.72°, I = 80
- 2θ = 41.31°, I = 100
- 2θ = 41.85°, I = 85
- 2θ = 43.33°, I = 68
- 2θ = 43.89°, I = 38

---

[4]
# Zr7NiSb3
Calculated powder XRD pattern, copper Kα. Input: a GGA-PBE-relaxed structure.
Lines closer than 0.1° are merged.

Structure:
```
data_Zr7NiSb3
_cell_length_a 16.781
_cell_length_b 3.927
_cell_length_c 14.732
_cell_angle_alpha 90.00
_cell_angle_beta 90.00
_cell_angle_gamma 90.00
_symmetry_space_group_name_H-M 'P n m a'
_symmetry_Int_Tables_number 62
_symmetry_space_group_name_Hall '-P 2ac 2n'
loop_
_atom_site_label
_atom_site_fract_x
_atom_site_fract_y
_atom_site_fract_z
Zr1 0.009 0.250 0.197
Zr2 0.048 0.250 0.411
Zr3 0.082 0.250 0.948
Zr4 0.106 0.250 0.687
Zr5 0.208 0.750 0.350
Zr6 0.214 0.250 0.173
Zr7 0.247 0.750 0.005
Ni1 0.075 0.750 0.279
Sb1 0.096 0.750 0.095
Sb2 0.128 0.750 0.539
Sb3 0.164 0.750 0.825
```

Principal peaks in the range 15° ≤ 2θ ≤ 90°, in order of rising 2θ:
- 2θ = 32.59°, I = 17
- 2θ = 33.32°, I = 52
- 2θ = 33.79°, I = 100
- 2θ = 37.30°, I = 30
- 2θ = 38.19°, I = 16
- 2θ = 39.54°, I = 15
- 2θ = 39.81°, I = 23
- 2θ = 40.05°, I = 27
- 2θ = 40.75°, I = 19
- 2θ = 46.23°, I = 35